Structure and computed powder X-ray diffraction pattern of BC3 (DFT lattice parameters and positions (PBE); CuKα).
Peak positions follow from Bragg's law for the DFT cell and can differ from measured ones.

Crystal structure
Unit cell a=2.6110 b=2.6110 c=13.6327 alpha=90.00 beta=90.00 gamma=120.00
Space group P3m1 (No. 156)
Inequivalent atoms, fractional coordinates:
B (0.0000, 0.0000, 0.0000) (multiplicity 1)
B (0.0000, 0.0000, 0.2304) (multiplicity 1)
B (0.3333, 0.6667, 0.3641) (multiplicity 1)
C (0.0000, 0.0000, 0.5617) (multiplicity 1)
C (0.0000, 0.0000, 0.6748) (multiplicity 1)
C (0.3333, 0.6667, 0.2411) (multiplicity 1)
C (0.3333, 0.6667, 0.7125) (multiplicity 1)
C (0.3333, 0.6667, 0.8260) (multiplicity 1)
C (0.6667, 0.3333, 0.4121) (multiplicity 1)
C (0.6667, 0.3333, 0.5227) (multiplicity 1)
C (0.6667, 0.3333, 0.8636) (multiplicity 1)
C (0.6667, 0.3333, 0.9830) (multiplicity 1)

Principal peaks in the range 10° ≤ 2θ ≤ 90°, sorted by position:
2θ (°)	d [Å]	Rel. int.
12.99	6.816	30
19.53	4.544	18
26.15	3.408	12
39.67	2.272	17
42.10	2.146	100
44.77	2.024	14
46.64	1.948	18
72.39	1.306	30
75.55	1.258	20
87.45	1.115	8